[1]
Starting from a crystal structure in the Materials Project, relaxed with GGA-PBE, the PXRD pattern of NbFeRu2 was simulated for λ = 1.5418 Å (Cu Kα).

Top 6 peaks for 10 to 90 degrees two-theta, by angle:
hkl 1 1 1, 25.13 deg, rel. 3
hkl 2 0 0, 29.10 deg, rel. 3
hkl 2 2 0, 41.62 deg, rel. 100
hkl 3 1 1, 49.24 deg, rel. 1
hkl 4 0 0, 60.32 deg, rel. 16
hkl 4 2 2, 75.96 deg, rel. 32

Structure:
Lattice parameters (Å, degrees): 6.1373 6.1373 6.1373 90.00 90.00 90.00
Space group Fm-3m (No. 225)
Unique sites:
Nb 0.0000 0.0000 0.0000 x4
Fe 0.0000 0.0000 0.5000 x4
Ru 0.2500 0.2500 0.2500 x8

---

[2]
Starting from a crystal structure in the Materials Project, relaxed with GGA-PBE, the PXRD pattern of NaSi6 was simulated for λ = 1.5418 Å (Cu Kα).

Top 6 peaks for 10 to 90 degrees two-theta, by angle:
hkl 1 1 2, 27.18 deg, rel. 45
hkl 1 1 3, 31.80 deg, rel. 100
hkl 0 2 4, 33.88 deg, rel. 76
hkl 1 3 1, 34.11 deg, rel. 45
hkl 2 0 0, 43.28 deg, rel. 55
hkl 2 4 0, 56.09 deg, rel. 50

Structure:
Lattice parameters (Å, degrees): 4.1810 10.5504 12.2348 90.00 90.00 90.00
Space group Cmcm (No. 63)
Unique sites:
Na 0.0000 0.2156 0.2500 x4
Si 0.0000 0.0647 0.6527 x8
Si 0.0000 0.2550 0.5476 x8
Si 0.0000 0.4736 0.5954 x8